Record 1
This entry pairs a crystal structure of ReH12N3Cl4O3 with its computed PXRD pattern. Radiation: a wavelength of 1.5418 Å. Structure: the GGA-PBE geometry in OQMD.
Peak positions follow from Bragg's law for the DFT cell and can differ from measured ones.

Crystal structure
```
data_ReH12N3Cl4O3
_chemical_formula_sum 'Re2 H24 N6 Cl8 O6'
_cell_length_a 8.9199
_cell_length_b 8.9199
_cell_length_c 7.6163
_cell_angle_alpha 90.00
_cell_angle_beta 90.00
_cell_angle_gamma 120.00
_space_group_name_H-M_alt 'P 63 m c'
_space_group_IT_number 186
_space_group_name_Hall 'P 6c -2c'
loop_
_atom_site_label
_atom_site_type_symbol
_atom_site_fract_x
_atom_site_fract_y
_atom_site_fract_z
_atom_site_occupancy
Re1 Re 0.3333 0.6667 0.0000 1
H1 H 0.0790 0.3478 0.3855 1
H2 H 0.1058 0.2116 0.5252 1
H3 H 0.2130 0.4260 0.5608 1
N1 N 0.1667 0.3334 0.4626 1
Cl1 Cl 0.0000 0.0000 0.1963 1
Cl2 Cl 0.0919 0.5459 0.7726 1
O1 O 0.2311 0.4621 0.0956 1
```

Top 6 peaks for 10° ≤ 2θ ≤ 80°, by angle:
2θ = 11.45°, I = 333; 2θ = 16.34°, I = 1000; 2θ = 19.91°, I = 400; 2θ = 25.86°, I = 427; 2θ = 32.85°, I = 256; 2θ = 33.03°, I = 288

=====

Record 2
This entry pairs a crystal structure of Y5Au3 with its computed PXRD pattern. Radiation: a wavelength of 1.5418 Å. Structure: the GGA-PBE geometry in OQMD.
Peak positions follow from Bragg's law for the DFT cell and can differ from measured ones.

Crystal structure
```
data_Y5Au3
_chemical_formula_sum 'Y20 Au12'
_cell_length_a 7.731
_cell_length_b 7.731
_cell_length_c 13.656
_cell_angle_alpha 90.00
_cell_angle_beta 90.00
_cell_angle_gamma 90.00
_space_group_name_H-M_alt 'I 4/m c m'
_space_group_IT_number 140
_space_group_name_Hall '-I 4 2c'
loop_
_atom_site_label
_atom_site_type_symbol
_atom_site_fract_x
_atom_site_fract_y
_atom_site_fract_z
_atom_site_occupancy
Y1 Y 0.000 0.000 0.000 1
Y2 Y 0.160 0.340 0.150 1
Au1 Au 0.000 0.000 0.250 1
Au2 Au 0.135 0.365 0.500 1
```

Top 6 peaks for 10° ≤ 2θ ≤ 80°, by angle:
2θ = 20.82°, I = 285; 2θ = 32.52°, I = 1000; 2θ = 35.07°, I = 176; 2θ = 36.76°, I = 563; 2θ = 45.64°, I = 156; 2θ = 68.54°, I = 153

=====

Record 3
This entry pairs a crystal structure of ZrAlCoAg with its computed PXRD pattern. Radiation: a wavelength of 1.5418 Å. Structure: the GGA-PBE geometry in OQMD.
Peak positions follow from Bragg's law for the DFT cell and can differ from measured ones.

Crystal structure
```
data_ZrAlCoAg
_chemical_formula_sum 'Zr4 Al4 Co4 Ag4'
_cell_length_a 6.372
_cell_length_b 6.372
_cell_length_c 6.372
_cell_angle_alpha 90.00
_cell_angle_beta 90.00
_cell_angle_gamma 90.00
_space_group_name_H-M_alt 'F -4 3 m'
_space_group_IT_number 216
_space_group_name_Hall 'F -4 2 3'
loop_
_atom_site_label
_atom_site_type_symbol
_atom_site_fract_x
_atom_site_fract_y
_atom_site_fract_z
_atom_site_occupancy
Zr1 Zr 0.000 0.000 0.000 1
Al1 Al 0.000 0.000 0.500 1
Co1 Co 0.250 0.250 0.750 1
Ag1 Ag 0.250 0.250 0.250 1
```

Top 6 peaks for 10° ≤ 2θ ≤ 80°, by angle:
2θ = 24.19°, I = 201; 2θ = 28.01°, I = 45; 2θ = 40.02°, I = 1000; 2θ = 47.31°, I = 97; 2θ = 57.89°, I = 161; 2θ = 72.70°, I = 316

=====

Record 4
This entry pairs a crystal structure of Hf5Cu2 with its computed PXRD pattern. Radiation: a wavelength of 1.5418 Å. Structure: the GGA-PBE geometry in OQMD.
Peak positions follow from Bragg's law for the DFT cell and can differ from measured ones.

Crystal structure
```
data_Hf5Cu2
_chemical_formula_sum 'Hf15 Cu6'
_cell_length_a 4.7691
_cell_length_b 4.7691
_cell_length_c 20.3162
_cell_angle_alpha 90.00
_cell_angle_beta 90.00
_cell_angle_gamma 120.00
_space_group_name_H-M_alt 'R 3 m'
_space_group_IT_number 160
_space_group_name_Hall 'R 3 -2"'
loop_
_atom_site_label
_atom_site_type_symbol
_atom_site_fract_x
_atom_site_fract_y
_atom_site_fract_z
_atom_site_occupancy
Hf1 Hf 0.0000 0.0000 0.0000 1
Hf2 Hf 0.0000 0.0000 0.1524 1
Hf3 Hf 0.0000 0.0000 0.4202 1
Hf4 Hf 0.0000 0.0000 0.5759 1
Hf5 Hf 0.0000 0.0000 0.7326 1
Cu1 Cu 0.0000 0.0000 0.2888 1
Cu2 Cu 0.0000 0.0000 0.8644 1
```

Top 6 peaks for 10° ≤ 2θ ≤ 80°, by angle:
2θ = 30.87°, I = 228; 2θ = 37.72°, I = 1000; 2θ = 37.89°, I = 862; 2θ = 54.54°, I = 301; 2θ = 68.11°, I = 176; 2θ = 68.21°, I = 306

=====

Record 5
This entry pairs a crystal structure of ThCN3 with its computed PXRD pattern. Radiation: a wavelength of 1.5418 Å. Structure: the GGA-PBE geometry in OQMD.
Peak positions follow from Bragg's law for the DFT cell and can differ from measured ones.

Crystal structure
```
data_ThCN3
_chemical_formula_sum 'Th2 C2 N6'
_cell_length_a 4.451
_cell_length_b 4.751
_cell_length_c 6.203
_cell_angle_alpha 90.00
_cell_angle_beta 108.70
_cell_angle_gamma 90.00
_space_group_name_H-M_alt 'P 1 21/m 1'
_space_group_IT_number 11
loop_
_space_group_symop_operation_xyz
'x,y,z'
'-x,-y,-z'
'-x,y+1/2,-z'
'x,-y+1/2,z'
loop_
_atom_site_label
_atom_site_type_symbol
_atom_site_fract_x
_atom_site_fract_y
_atom_site_fract_z
_atom_site_occupancy
Th1 Th 0.109 0.250 0.273 1
C1 C 0.499 0.250 0.759 1
N1 N 0.191 0.750 0.125 1
N2 N 0.321 0.019 0.674 1
```

Top 6 peaks for 10° ≤ 2θ ≤ 80°, by angle:
2θ = 21.07°, I = 421; 2θ = 24.09°, I = 1000; 2θ = 28.30°, I = 303; 2θ = 28.74°, I = 766; 2θ = 30.43°, I = 434; 2θ = 50.43°, I = 265

=====

Record 6
This entry pairs a crystal structure of YHf3C2S2 with its computed PXRD pattern. Radiation: a wavelength of 1.5418 Å. Structure: the GGA-PBE geometry in OQMD.
Peak positions follow from Bragg's law for the DFT cell and can differ from measured ones.

Crystal structure
```
data_YHf3C2S2
_chemical_formula_sum 'Y1 Hf3 C2 S2'
_cell_length_a 3.4428
_cell_length_b 3.4428
_cell_length_c 12.3378
_cell_angle_alpha 90.00
_cell_angle_beta 90.00
_cell_angle_gamma 120.00
_space_group_name_H-M_alt 'P 3 m 1'
_space_group_IT_number 156
loop_
_space_group_symop_operation_xyz
'x,y,z'
'-y,x-y,z'
'-x+y,-x,z'
'-y,-x,z'
'-x+y,y,z'
'x,x-y,z'
loop_
_atom_site_label
_atom_site_type_symbol
_atom_site_fract_x
_atom_site_fract_y
_atom_site_fract_z
_atom_site_occupancy
Y1 Y 0.0000 0.0000 0.0000 1
Hf1 Hf 0.0000 0.0000 0.3043 1
Hf2 Hf 0.6667 0.3333 0.4976 1
Hf3 Hf 0.6667 0.3333 0.7903 1
C1 C 0.3333 0.6667 0.4015 1
C2 C 0.3333 0.6667 0.8800 1
S1 S 0.0000 0.0000 0.6426 1
S2 S 0.6667 0.3333 0.1630 1
```

Top 6 peaks for 10° ≤ 2θ ≤ 80°, by angle:
2θ = 28.95°, I = 178; 2θ = 29.97°, I = 306; 2θ = 30.85°, I = 379; 2θ = 37.25°, I = 1000; 2θ = 53.21°, I = 278; 2θ = 66.74°, I = 180